Theoretical powder X-ray diffraction pattern
Compound: Tl4CdBr6
Radiation: Cu Kα X-rays
Structure: a DFT-relaxed cell (GGA-PBE, Alexandria)
Intensities are scaled so that the largest is 100.

a b c (Å): 8.8991 8.8991 9.4699
angles (deg): 90.00 90.00 90.00
Element x y z (fractional)
Tl 0.1565 0.3435 0.2500
Tl 0.1565 0.3435 0.7500
Tl 0.3435 0.8435 0.2500
Tl 0.3435 0.8435 0.7500
Tl 0.6565 0.1565 0.2500
Tl 0.6565 0.1565 0.7500
Tl 0.8435 0.6565 0.2500
Tl 0.8435 0.6565 0.7500
Cd 0.0000 0.0000 0.0000
Cd 0.5000 0.5000 0.5000
Br 0.0000 0.0000 0.2869
Br 0.0000 0.0000 0.7131
Br 0.1294 0.7001 0.0000
Br 0.2001 0.6294 0.5000
Br 0.2999 0.1294 0.0000
Br 0.3706 0.2001 0.5000
Br 0.5000 0.5000 0.2131
Br 0.5000 0.5000 0.7869
Br 0.6294 0.7999 0.5000
Br 0.7001 0.8706 0.0000
Br 0.7999 0.3706 0.5000
Br 0.8706 0.2999 0.0000

Principal peaks in the range 2θ = 5–70°, sorted by position:
| 2θ/deg | intensity | hkl |
| --- | --- | --- |
| 22.34 | 20 | 2 1 0 |
| 29.32 | 100 | 2 1 2 |
| 31.80 | 41 | 3 1 0 |
| 38.01 | 16 | 0 0 4 |
| 46.23 | 15 | 4 1 2 |
| 50.37 | 19 | 3 1 4 |